[1]
For Mg2Cd2Hg, the GGA-PBE geometry in Alexandria gives the calculated PXRD pattern in this record (Cu Kα, 1.54184 Å).
No peak broadening, texture or thermal motion is included.

```
Mg2Cd2Hg
1.0
8.510 0.000 0.000
0.000 8.510 0.000
0.000 0.000 3.204
Mg Cd Hg
4 4 2
Cartesian
1.515 2.740 0.000
2.740 6.995 0.000
5.771 1.515 0.000
6.995 5.771 0.000
1.041 5.296 1.602
3.214 1.041 1.602
5.296 7.470 1.602
7.470 3.214 1.602
0.000 0.000 1.602
4.255 4.255 1.602
```

Main lines, low angle first (15 to 90 degrees two-theta):
2θ = 20.9°, 4.255 Å, intensity 430; 2θ = 23.4°, 3.806 Å, intensity 336; 2θ = 27.8°, 3.204 Å, intensity 511; 2θ = 33.3°, 2.691 Å, intensity 1000; 2θ = 35.1°, 2.560 Å, intensity 453; 2θ = 36.7°, 2.451 Å, intensity 532; 2θ = 43.9°, 2.061 Å, intensity 715; 2θ = 62.8°, 1.480 Å, intensity 339

=====

[2]
For MgCd6Hg5, the GGA-PBE geometry in Alexandria gives the calculated PXRD pattern in this record (Cu Kα, 1.54184 Å).
No peak broadening, texture or thermal motion is included.

```
MgCd6Hg5
1.0
2.543 -5.783 0.000
2.543 5.783 0.000
-1.725 0.000 9.664
Mg Cd Hg
1 6 5
Cartesian
0.000 0.000 0.000
0.785 1.910 2.376
-0.045 0.000 7.209
0.785 -1.910 2.376
2.576 1.910 7.288
3.406 0.000 2.455
2.576 -1.910 7.288
1.681 3.807 4.832
2.543 1.807 0.000
1.681 0.000 4.832
2.543 -1.807 0.000
1.681 -3.807 4.832
```

Main lines, low angle first (15 to 90 degrees two-theta):
2θ = 31.6°, 2.827 Å, intensity 1000; 2θ = 37.2°, 2.416 Å, intensity 327; 2θ = 37.4°, 2.402 Å, intensity 323; 2θ = 38.4°, 2.346 Å, intensity 598; 2θ = 43.5°, 2.079 Å, intensity 209; 2θ = 47.1°, 1.928 Å, intensity 161; 2θ = 59.3°, 1.560 Å, intensity 164; 2θ = 59.6°, 1.552 Å, intensity 163